Structure and calculated powder X-ray diffraction pattern of Be3S (a PBE-relaxed structure; copper Kα).

Crystal structure
abc: 4.448 4.448 5.798
angles: 90.00 90.00 120.00
Fractional positions:
Be  0.166  0.332  0.250
Be  0.166  0.834  0.250
Be  0.332  0.166  0.750
Be  0.668  0.834  0.250
Be  0.834  0.166  0.750
Be  0.834  0.668  0.750
S  0.333  0.667  0.750
S  0.667  0.333  0.250

Most intense lines, 15 to 90 degrees two-theta, in order of falling intensity:
| hkl | two_theta | I (rel.) |
| --- | --- | --- |
| 1 0 1 | 27.8 | 100 |
| 0 0 2 | 30.8 | 62 |
| 2 0 1 | 49.9 | 60 |
| 1 0 0 | 23.1 | 27 |
| 2 0 3 | 68.8 | 22 |
| 1 1 0 | 40.6 | 21 |
| 1 1 2 | 51.8 | 19 |
| 1 0 3 | 53.0 | 14 |
| 2 1 1 | 66.2 | 13 |
| 2 0 2 | 57.4 | 13 |
| 1 0 2 | 38.9 | 12 |
| 2 0 0 | 47.2 | 12 |